[1]
# CoSi2O6
Theoretical X-ray powder pattern, Cu Kα X-rays. Input: a DFT-relaxed cell (GGA+U, the Materials Project).
Lines closer than 0.1° are merged.

Largest 8 diffraction maxima, low angle first, 15° ≤ 2θ ≤ 90°:
| d (Å) | two_theta | I (rel.) |
| --- | --- | --- |
| 4.445 | 20.0 | 79 |
| 4.292 | 20.7 | 52 |
| 3.509 | 25.4 | 37 |
| 2.965 | 30.1 | 100 |
| 2.809 | 31.9 | 69 |
| 2.507 | 35.8 | 53 |
| 2.391 | 37.6 | 25 |
| 2.152 | 42.0 | 26 |

Cell and atoms:
abc: 6.399 6.399 5.336
angles: 104.70 104.70 84.26
Sites, in units of the cell vectors:
Co (0.000, 0.000, 0.000)
Co (0.806, 0.194, 0.500)
Si (0.109, 0.482, 0.989)
Si (0.288, 0.314, 0.497)
Si (0.518, 0.891, 0.011)
Si (0.686, 0.712, 0.503)
O (0.085, 0.142, 0.394)
O (0.250, 0.462, 0.282)
O (0.266, 0.457, 0.788)
O (0.278, 0.010, 0.974)
O (0.525, 0.191, 0.532)
O (0.538, 0.750, 0.718)
O (0.543, 0.734, 0.212)
O (0.713, 0.069, 0.128)
O (0.809, 0.475, 0.468)
O (0.858, 0.915, 0.606)
O (0.931, 0.287, 0.872)
O (0.990, 0.722, 0.026)

***

[2]
# CoSi2O6
Theoretical X-ray powder pattern, Cu Kα X-rays. Input: a DFT-relaxed cell (GGA+U, the Materials Project).
Lines closer than 0.1° are merged.

Largest 8 diffraction maxima, low angle first, 15° ≤ 2θ ≤ 90°:
| d (Å) | two_theta | I (rel.) |
| --- | --- | --- |
| 4.371 | 20.3 | 91 |
| 4.176 | 21.3 | 62 |
| 3.479 | 25.6 | 41 |
| 2.899 | 30.8 | 100 |
| 2.766 | 32.4 | 92 |
| 2.493 | 36.0 | 41 |
| 2.360 | 38.1 | 37 |
| 2.139 | 42.2 | 34 |

Cell and atoms:
abc: 6.259 6.259 5.286
angles: 104.33 104.33 83.70
Sites, in units of the cell vectors:
Co (0.089, 0.911, 0.750)
Co (0.911, 0.089, 0.250)
Si (0.208, 0.391, 0.737)
Si (0.391, 0.208, 0.237)
Si (0.609, 0.792, 0.763)
Si (0.792, 0.609, 0.263)
O (0.023, 0.194, 0.633)
O (0.089, 0.636, 0.806)
O (0.194, 0.023, 0.133)
O (0.347, 0.370, 0.512)
O (0.364, 0.911, 0.694)
O (0.370, 0.347, 0.012)
O (0.630, 0.653, 0.988)
O (0.636, 0.089, 0.306)
O (0.653, 0.630, 0.488)
O (0.806, 0.977, 0.867)
O (0.911, 0.364, 0.194)
O (0.977, 0.806, 0.367)

***

[3]
# CoSiO4
Theoretical X-ray powder pattern, Cu Kα X-rays. Input: a DFT-relaxed cell (GGA+U, the Materials Project).
Lines closer than 0.1° are merged.

Largest 8 diffraction maxima, low angle first, 15° ≤ 2θ ≤ 90°:
| d (Å) | two_theta | I (rel.) |
| --- | --- | --- |
| 4.374 | 20.3 | 67 |
| 4.205 | 21.1 | 21 |
| 4.017 | 22.1 | 100 |
| 3.083 | 29.0 | 35 |
| 3.023 | 29.6 | 26 |
| 2.687 | 33.3 | 23 |
| 2.635 | 34.0 | 25 |
| 1.541 | 60.0 | 20 |

Cell and atoms:
abc: 10.138 7.530 5.374
angles: 90.00 90.00 90.00
Sites, in units of the cell vectors:
Co (0.177, 0.022, 0.000)
Co (0.323, 0.522, 0.500)
Co (0.677, 0.478, 0.000)
Co (0.823, 0.978, 0.500)
Si (0.096, 0.795, 0.500)
Si (0.404, 0.295, 0.000)
Si (0.596, 0.705, 0.500)
Si (0.904, 0.205, 0.000)
O (0.065, 0.206, 0.963)
O (0.132, 0.852, 0.787)
O (0.158, 0.599, 0.447)
O (0.161, 0.942, 0.310)
O (0.339, 0.442, 0.810)
O (0.342, 0.099, 0.947)
O (0.368, 0.352, 0.287)
O (0.435, 0.706, 0.463)
O (0.565, 0.294, 0.963)
O (0.632, 0.648, 0.787)
O (0.658, 0.901, 0.447)
O (0.661, 0.558, 0.310)
O (0.839, 0.058, 0.810)
O (0.842, 0.401, 0.947)
O (0.868, 0.148, 0.287)
O (0.935, 0.794, 0.463)

***

[4]
# CoSi4O10
Theoretical X-ray powder pattern, Cu Kα X-rays. Input: a DFT-relaxed cell (GGA+U, the Materials Project).
Lines closer than 0.1° are merged.

Largest 8 diffraction maxima, low angle first, 15° ≤ 2θ ≤ 90°:
| d (Å) | two_theta | I (rel.) |
| --- | --- | --- |
| 5.154 | 17.2 | 39 |
| 3.939 | 22.6 | 100 |
| 3.645 | 24.4 | 28 |
| 3.466 | 25.7 | 52 |
| 3.308 | 27.0 | 33 |
| 3.192 | 27.9 | 25 |
| 3.012 | 29.7 | 70 |
| 1.901 | 47.8 | 15 |

Cell and atoms:
abc: 7.289 7.289 15.758
angles: 90.00 90.00 90.00
Sites, in units of the cell vectors:
Co (0.250, 0.250, 0.089)
Co (0.250, 0.250, 0.589)
Co (0.750, 0.750, 0.411)
Co (0.750, 0.750, 0.911)
Si (0.005, 0.072, 0.350)
Si (0.005, 0.428, 0.850)
Si (0.072, 0.005, 0.850)
Si (0.072, 0.495, 0.350)
Si (0.428, 0.005, 0.350)
Si (0.428, 0.495, 0.850)
Si (0.495, 0.072, 0.850)
Si (0.495, 0.428, 0.350)
Si (0.505, 0.572, 0.650)
Si (0.505, 0.928, 0.150)
Si (0.572, 0.505, 0.150)
Si (0.572, 0.995, 0.650)
Si (0.928, 0.505, 0.650)
Si (0.928, 0.995, 0.150)
Si (0.995, 0.572, 0.150)
Si (0.995, 0.928, 0.650)
O (0.004, 0.710, 0.629)
O (0.004, 0.790, 0.129)
O (0.026, 0.153, 0.092)
O (0.026, 0.347, 0.592)
O (0.038, 0.538, 0.250)
O (0.038, 0.962, 0.750)
O (0.153, 0.026, 0.592)
O (0.153, 0.474, 0.092)
O (0.210, 0.504, 0.871)
O (0.210, 0.996, 0.371)
O (0.290, 0.504, 0.371)
O (0.290, 0.996, 0.871)
O (0.347, 0.026, 0.092)
O (0.347, 0.474, 0.592)
O (0.462, 0.538, 0.750)
O (0.462, 0.962, 0.250)
O (0.474, 0.153, 0.592)
O (0.474, 0.347, 0.092)
O (0.496, 0.710, 0.129)
O (0.496, 0.790, 0.629)
O (0.504, 0.210, 0.371)
O (0.504, 0.290, 0.871)
O (0.526, 0.653, 0.908)
O (0.526, 0.847, 0.408)
O (0.538, 0.038, 0.750)
O (0.538, 0.462, 0.250)
O (0.653, 0.526, 0.408)
O (0.653, 0.974, 0.908)
O (0.710, 0.004, 0.129)
O (0.710, 0.496, 0.629)
O (0.790, 0.004, 0.629)
O (0.790, 0.496, 0.129)
O (0.847, 0.526, 0.908)
O (0.847, 0.974, 0.408)
O (0.962, 0.038, 0.250)
O (0.962, 0.462, 0.750)
O (0.974, 0.653, 0.408)
O (0.974, 0.847, 0.908)
O (0.996, 0.210, 0.871)
O (0.996, 0.290, 0.371)

***

[5]
# Sr2CoSi2O7
Theoretical X-ray powder pattern, Cu Kα X-rays. Input: a DFT-relaxed cell (GGA+U, the Materials Project).
Lines closer than 0.1° are merged.

Largest 8 diffraction maxima, low angle first, 15° ≤ 2θ ≤ 90°:
| d (Å) | two_theta | I (rel.) |
| --- | --- | --- |
| 3.863 | 23.0 | 23 |
| 3.203 | 27.9 | 42 |
| 2.979 | 30.0 | 100 |
| 2.563 | 35.0 | 26 |
| 2.120 | 42.6 | 22 |
| 1.840 | 49.5 | 14 |
| 1.830 | 49.8 | 25 |
| 1.571 | 58.8 | 14 |

Cell and atoms:
abc: 8.106 8.106 5.229
angles: 90.00 90.00 90.00
Sites, in units of the cell vectors:
Sr (0.167, 0.333, 0.494)
Sr (0.333, 0.833, 0.506)
Sr (0.667, 0.167, 0.506)
Sr (0.833, 0.667, 0.494)
Co (0.000, 0.000, 0.000)
Co (0.500, 0.500, 0.000)
Si (0.138, 0.638, 0.945)
Si (0.362, 0.138, 0.055)
Si (0.638, 0.862, 0.055)
Si (0.862, 0.362, 0.945)
O (0.000, 0.500, 0.836)
O (0.080, 0.809, 0.799)
O (0.140, 0.640, 0.254)
O (0.191, 0.080, 0.201)
O (0.309, 0.580, 0.799)
O (0.360, 0.140, 0.746)
O (0.420, 0.309, 0.201)
O (0.500, 0.000, 0.164)
O (0.580, 0.691, 0.201)
O (0.640, 0.860, 0.746)
O (0.691, 0.420, 0.799)
O (0.809, 0.920, 0.201)
O (0.860, 0.360, 0.254)
O (0.920, 0.191, 0.799)